CeSn2Rh3: computed PXRD pattern (Cu Kα (λ = 1.5418 Å)), based on a GGA-PBE-relaxed structure.
Lines closer than 0.1° are merged.

Peak list (8 most intense, 2θ from 5° to 70°, by angle)
two_theta  I (rel.)  hkl
29.65  247  3 1 -2
32.96  289  5 1 -1
33.71  357  5 1 0
34.47  1000  1 1 -3
34.87  693  5 1 -2
41.44  535  7 1 -1
41.97  583  2 0 4
42.82  740  0 2 0

Structure:
a b c (Å): 17.812 4.223 9.956
angles (deg): 90.00 106.11 90.00
Space group C2/m (No. 12)
Unique sites:
Ce 0.000 0.000 0.000 [2 per cell]
Ce 0.177 0.000 0.717 [4 per cell]
Sn 0.044 0.500 0.777 [4 per cell]
Sn 0.137 0.500 0.449 [4 per cell]
Sn 0.185 0.000 0.119 [4 per cell]
Rh 0.000 0.500 0.500 [2 per cell]
Rh 0.044 0.000 0.328 [4 per cell]
Rh 0.102 0.500 0.169 [4 per cell]
Rh 0.184 0.500 0.951 [4 per cell]
Rh 0.217 0.000 0.395 [4 per cell]


Mg8Tl3In2: computed PXRD pattern (Cu Kα (λ = 1.5418 Å)), based on a GGA-PBE-relaxed structure.
Lines closer than 0.1° are merged.

Peak list (8 most intense, 2θ from 5° to 70°, by angle)
two_theta  I (rel.)  hkl
15.64  314  2 0 0
19.03  185  2 0 -1
24.29  737  0 2 1
25.06  181  3 1 0
25.56  267  2 2 -1
32.14  358  2 2 1
34.22  570  0 4 0
35.03  1000  4 2 -1

Structure:
a b c (Å): 12.038 10.486 5.444
angles (deg): 90.00 109.75 90.00
Space group C2/m (No. 12)
Unique sites:
Mg 0.071 0.000 0.299 [4 per cell]
Mg 0.155 0.500 0.563 [4 per cell]
Mg 0.172 0.257 0.180 [8 per cell]
Tl 0.000 0.252 0.500 [4 per cell]
Tl 0.000 0.500 0.000 [2 per cell]
In 0.195 0.000 0.882 [4 per cell]


LaPm5Er4: computed PXRD pattern (Cu Kα (λ = 1.5418 Å)), based on a GGA-PBE-relaxed structure.
Lines closer than 0.1° are merged.

Peak list (8 most intense, 2θ from 5° to 70°, by angle)
two_theta  I (rel.)  hkl
29.69  207  3 1 -1
30.06  185  3 1 0
31.14  479  2 0 -4
31.56  1000  4 0 2
31.72  436  6 0 -2
32.62  204  3 1 1
46.72  144  7 1 0
61.31  147  2 2 -4

Structure:
a b c (Å): 17.202 3.557 11.488
angles (deg): 90.00 109.12 90.00
Space group C2/m (No. 12)
Unique sites:
La 0.000 0.000 0.000 [2 per cell]
Pm 0.000 0.000 0.500 [2 per cell]
Pm 0.190 0.500 0.079 [4 per cell]
Pm 0.211 0.500 0.615 [4 per cell]
Er 0.083 0.500 0.293 [4 per cell]
Er 0.105 0.000 0.796 [4 per cell]


AcSiPd3: computed PXRD pattern (Cu Kα (λ = 1.5418 Å)), based on a GGA-PBE-relaxed structure.
Lines closer than 0.1° are merged.

Peak list (8 most intense, 2θ from 5° to 70°, by angle)
two_theta  I (rel.)  hkl
22.24  138  1 0 1
32.57  310  1 0 3
33.46  154  0 0 4
33.85  1000  1 1 2
41.93  376  2 0 0
47.39  176  1 0 5
54.08  150  2 1 3
54.67  154  2 0 4

Structure:
a b c (Å): 4.309 4.309 10.713
angles (deg): 90.00 90.00 90.00
Space group I4mm (No. 107)
Unique sites:
Ac 0.000 0.000 0.000 [2 per cell]
Si 0.000 0.000 0.358 [2 per cell]
Pd 0.000 0.000 0.582 [2 per cell]
Pd 0.000 0.500 0.253 [4 per cell]


Np2Zn16Hg: computed PXRD pattern (Cu Kα (λ = 1.5418 Å)), based on a GGA-PBE-relaxed structure.
Lines closer than 0.1° are merged.

Peak list (8 most intense, 2θ from 5° to 70°, by angle)
two_theta  I (rel.)  hkl
19.56  308  1 1 0
28.18  407  1 1 3
34.23  665  3 0 0
35.42  398  0 2 4
39.73  765  2 2 0
40.01  1000  0 3 3
40.80  581  0 0 6
58.27  262  2 2 6

Structure:
a b c (Å): 9.0747 9.0747 13.2619
angles (deg): 90.00 90.00 120.00
Space group R3m (No. 160, hexagonal axes)
Unique sites:
Np 0.0000 0.0000 0.0000 [3 per cell]
Np 0.0000 0.0000 0.3210 [3 per cell]
Zn 0.0000 0.0000 0.7687 [3 per cell]
Zn 0.0156 0.5078 0.8142 [9 per cell]
Zn 0.0319 0.3646 0.3294 [18 per cell]
Zn 0.1711 0.3421 0.8435 [9 per cell]
Zn 0.1715 0.3430 0.4961 [9 per cell]
Hg 0.0000 0.0000 0.5607 [3 per cell]


In7BiPb4: computed PXRD pattern (Cu Kα (λ = 1.5418 Å)), based on a GGA-PBE-relaxed structure.
Lines closer than 0.1° are merged.

Peak list (8 most intense, 2θ from 5° to 70°, by angle)
two_theta  I (rel.)  hkl
29.03  575  1 2 0
30.68  714  0 2 -1
32.48  1000  2 1 -1
33.06  782  1 2 2
33.29  865  0 1 -3
34.10  914  2 0 2
34.79  601  1 -2 0
36.93  545  -1 1 3

Structure:
a b c (Å): 6.229 6.478 9.333
angles (deg): 84.47 84.50 77.27
Space group P-1 (No. 2)
Unique sites:
In 0.000 0.000 0.000 [1 per cell]
In 0.217 0.530 0.895 [2 per cell]
In 0.273 0.170 0.675 [2 per cell]
In 0.361 0.705 0.572 [2 per cell]
Bi 0.500 0.000 0.000 [1 per cell]
Pb 0.170 0.107 0.322 [2 per cell]
Pb 0.253 0.603 0.234 [2 per cell]


Np2TiGe3Pt4: computed PXRD pattern (Cu Kα (λ = 1.5418 Å)), based on a GGA-PBE-relaxed structure.
Lines closer than 0.1° are merged.

Peak list (8 most intense, 2θ from 5° to 70°, by angle)
two_theta  I (rel.)  hkl
31.85  159  1 1 1
32.46  536  1 0 3
34.83  1000  1 1 2
44.12  516  2 0 0
46.25  368  1 0 5
55.83  236  2 1 3
64.17  171  2 2 0
65.84  260  2 1 5

Structure:
a b c (Å): 4.105 4.105 11.176
angles (deg): 90.00 90.00 90.00
Space group P-4m2 (No. 115)
Unique sites:
Np 0.000 0.500 0.242 [2 per cell]
Ti 0.000 0.000 0.500 [1 per cell]
Ge 0.000 0.500 0.863 [2 per cell]
Ge 0.500 0.500 0.500 [1 per cell]
Pt 0.000 0.000 0.000 [1 per cell]
Pt 0.000 0.500 0.641 [2 per cell]
Pt 0.500 0.500 0.000 [1 per cell]


TbThRuAu: computed PXRD pattern (Cu Kα (λ = 1.5418 Å)), based on a GGA-PBE-relaxed structure.
Lines closer than 0.1° are merged.

Peak list (8 most intense, 2θ from 5° to 70°, by angle)
two_theta  I (rel.)  hkl
21.46  62  1 1 1
24.83  16  2 0 0
35.40  1000  2 2 0
41.77  38  3 1 1
50.93  180  4 0 0
55.88  17  3 3 1
63.56  371  4 2 2
67.92  13  5 1 1

Structure:
a b c (Å): 7.171 7.171 7.171
angles (deg): 90.00 90.00 90.00
Space group F-43m (No. 216)
Unique sites:
Tb 0.000 0.000 0.000 [4 per cell]
Th 0.000 0.000 0.500 [4 per cell]
Ru 0.250 0.250 0.250 [4 per cell]
Au 0.250 0.250 0.750 [4 per cell]


Nd2Ho3Tm5: computed PXRD pattern (Cu Kα (λ = 1.5418 Å)), based on a GGA-PBE-relaxed structure.
Lines closer than 0.1° are merged.

Peak list (8 most intense, 2θ from 5° to 70°, by angle)
two_theta  I (rel.)  hkl
30.60  1000  2 4 0
30.83  880  2 2 -3
32.45  193  0 4 2
33.98  423  4 0 -2
49.56  199  0 6 3
61.45  217  4 6 -5
66.53  208  2 10 1
67.40  204  2 4 -6

Structure:
a b c (Å): 10.552 15.743 9.366
angles (deg): 90.00 124.29 90.00
Space group C2/c (No. 15)
Unique sites:
Nd 0.148 0.126 0.047 [8 per cell]
Ho 0.000 0.022 0.250 [4 per cell]
Ho 0.151 0.375 0.551 [8 per cell]
Tm 0.000 0.227 0.250 [4 per cell]
Tm 0.000 0.274 0.750 [4 per cell]
Tm 0.000 0.477 0.750 [4 per cell]
Tm 0.245 0.374 0.246 [8 per cell]


Dy4TlInH: computed PXRD pattern (Cu Kα (λ = 1.5418 Å)), based on a GGA-PBE-relaxed structure.
Lines closer than 0.1° are merged.

Peak list (8 most intense, 2θ from 5° to 70°, by angle)
two_theta  I (rel.)  hkl
29.59  986  2 2 0
31.82  357  0 6 0
32.99  343  1 5 1
34.97  1000  2 4 0
39.41  672  2 0 2
51.52  372  2 6 2
56.96  230  4 0 0
68.61  284  4 4 2

Structure:
a b c (Å): 6.466 16.871 6.467
angles (deg): 90.00 90.00 90.00
Space group Cmcm (No. 63)
Unique sites:
Dy 0.000 0.071 0.250 [4 per cell]
Dy 0.000 0.427 0.250 [4 per cell]
Dy 0.250 0.250 0.000 [8 per cell]
Tl 0.000 0.114 0.750 [4 per cell]
In 0.000 0.386 0.750 [4 per cell]
H 0.000 0.290 0.250 [4 per cell]